(1)
Structure and calculated powder diffractogram of LaNd3Y7 (a cell relaxed with GGA-PBE; a wavelength of 1.5418 Å).
Kinematic intensities with the Lorentz-polarization factor, no thermal factor.

Main lines, by intensity (2θ = 10–80°):
31.4 deg, I = 1000, (2 1 0); 32.3 deg, I = 760, (0 1 3); 31.6 deg, I = 716, (2 1 -2); 31.9 deg, I = 656, (0 2 0); 31.1 deg, I = 261, (1 1 -3); 45.7 deg, I = 252, (2 2 -3); 31.8 deg, I = 251, (2 0 -3); 62.4 deg, I = 249, (4 2 -2); 18.5 deg, I = 234, (0 0 2); 30.9 deg, I = 230, (1 1 2)

Structural model:
```
data_LaNd3Y7
_space_group_name_H-M_alt 'P 1 2/m 1'
_space_group_IT_number 10
_space_group_name_Hall '-P 2y'
_cell_length_a 7.018
_cell_length_b 5.608
_cell_length_c 10.164
_cell_angle_alpha 90.00
_cell_angle_beta 109.56
_cell_angle_gamma 90.00
loop_
_atom_site_label
_atom_site_fract_x
_atom_site_fract_y
_atom_site_fract_z
_atom_site_occupancy
La1 0.000 0.000 0.000 1
Nd1 0.282 0.500 0.499 1
Nd2 0.500 0.000 0.000 1
Y1 0.000 0.000 0.500 1
Y2 0.143 0.500 0.787 1
Y3 0.322 0.500 0.138 1
Y4 0.420 0.000 0.330 1
```

(2)
Structure and calculated powder diffractogram of PrPaSi2Rh5 (a cell relaxed with GGA-PBE; a wavelength of 1.5418 Å).
Kinematic intensities with the Lorentz-polarization factor, no thermal factor.

Main lines, by intensity (2θ = 10–80°):
35.4 deg, I = 1000, (1 1 2); 44.8 deg, I = 525, (2 0 0); 46.0 deg, I = 447, (1 1 4); 27.5 deg, I = 427, (1 0 2); 40.1 deg, I = 298, (1 1 3); 23.5 deg, I = 263, (1 0 1); 24.5 deg, I = 246, (0 0 3); 69.6 deg, I = 233, (2 0 6); 76.5 deg, I = 213, (3 1 2); 65.2 deg, I = 170, (2 2 0)

Structural model:
```
data_PrPaSi2Rh5
_space_group_name_H-M_alt 'P 4/m m m'
_space_group_IT_number 123
_space_group_name_Hall '-P 4 2'
_cell_length_a 4.045
_cell_length_b 4.045
_cell_length_c 10.901
_cell_angle_alpha 90.00
_cell_angle_beta 90.00
_cell_angle_gamma 90.00
loop_
_atom_site_label
_atom_site_fract_x
_atom_site_fract_y
_atom_site_fract_z
_atom_site_occupancy
Pr1 0.000 0.000 0.000 1
Pa1 0.000 0.000 0.500 1
Si1 0.500 0.500 0.214 1
Rh1 0.000 0.500 0.326 1
Rh2 0.500 0.500 0.000 1
```

Copy entry 2 word for word.
Structure and calculated powder diffractogram of PrPaSi2Rh5 (a cell relaxed with GGA-PBE; a wavelength of 1.5418 Å).
Kinematic intensities with the Lorentz-polarization factor, no thermal factor.

Main lines, by intensity (2θ = 10–80°):
35.4 deg, I = 1000, (1 1 2); 44.8 deg, I = 525, (2 0 0); 46.0 deg, I = 447, (1 1 4); 27.5 deg, I = 427, (1 0 2); 40.1 deg, I = 298, (1 1 3); 23.5 deg, I = 263, (1 0 1); 24.5 deg, I = 246, (0 0 3); 69.6 deg, I = 233, (2 0 6); 76.5 deg, I = 213, (3 1 2); 65.2 deg, I = 170, (2 2 0)

Structural model:
```
data_PrPaSi2Rh5
_space_group_name_H-M_alt 'P 4/m m m'
_space_group_IT_number 123
_space_group_name_Hall '-P 4 2'
_cell_length_a 4.045
_cell_length_b 4.045
_cell_length_c 10.901
_cell_angle_alpha 90.00
_cell_angle_beta 90.00
_cell_angle_gamma 90.00
loop_
_atom_site_label
_atom_site_fract_x
_atom_site_fract_y
_atom_site_fract_z
_atom_site_occupancy
Pr1 0.000 0.000 0.000 1
Pa1 0.000 0.000 0.500 1
Si1 0.500 0.500 0.214 1
Rh1 0.000 0.500 0.326 1
Rh2 0.500 0.500 0.000 1
```